[1]
The following is a theoretical powder diffraction line list of Ti3Be2Ni5. It was derived from a PBE-relaxed structure, using Cu Kα (λ = 1.5418 Å).
Peak positions follow from Bragg's law for the DFT cell and can differ from measured ones.

Largest 6 diffraction maxima, in order of rising 2θ, 5 to 70 degrees two-theta:
- 2θ 36.10, I = 58
- 2θ 40.72, I = 33
- 2θ 43.57, I = 100
- 2θ 44.26, I = 58
- 2θ 47.59, I = 35
- 2θ 48.23, I = 27

Crystal structure
Cell lengths 8.4385, 8.4385, 3.3094 Å; angles 90.00, 90.00, 90.00 degrees
Fractional coordinates of all 20 atoms:
1 Ti 0.0000 0.0000 0.0000
2 Ti 0.1757 0.3243 0.0000
3 Ti 0.3243 0.8243 0.0000
4 Ti 0.5000 0.5000 0.0000
5 Ti 0.6757 0.1757 0.0000
6 Ti 0.8243 0.6757 0.0000
7 Be 0.1188 0.6188 0.0000
8 Be 0.3812 0.1188 0.0000
9 Be 0.6188 0.8812 0.0000
10 Be 0.8812 0.3812 0.0000
11 Ni 0.0000 0.5000 0.5000
12 Ni 0.0689 0.7873 0.5000
13 Ni 0.2127 0.0689 0.5000
14 Ni 0.2873 0.5689 0.5000
15 Ni 0.4311 0.2873 0.5000
16 Ni 0.5000 0.0000 0.5000
17 Ni 0.5689 0.7127 0.5000
18 Ni 0.7127 0.4311 0.5000
19 Ni 0.7873 0.9311 0.5000
20 Ni 0.9311 0.2127 0.5000

---

[2]
The following is a theoretical powder diffraction line list of Ti2Be16Ni. It was derived from a PBE-relaxed structure, using Cu Kα (λ = 1.5418 Å).
Peak positions follow from Bragg's law for the DFT cell and can differ from measured ones.

Largest 6 diffraction maxima, in order of rising 2θ, 5 to 70 degrees two-theta:
- 2θ 24.10, I = 100
- 2θ 34.86, I = 42
- 2θ 36.21, I = 25
- 2θ 42.39, I = 40
- 2θ 49.35, I = 33
- 2θ 49.74, I = 28

Crystal structure
Cell lengths 5.5737, 5.5737, 5.5737 Å; angles 83.00, 83.00, 83.00 degrees
Fractional coordinates of all 19 atoms:
1 Ti 0.0000 0.0000 0.0000
2 Ti 0.3227 0.3227 0.3227
3 Be 0.0087 0.0087 0.5016
4 Be 0.0087 0.5016 0.0087
5 Be 0.1624 0.6615 0.6615
6 Be 0.3159 0.3159 0.8186
7 Be 0.3159 0.8186 0.3159
8 Be 0.3688 0.6601 0.9525
9 Be 0.3688 0.9525 0.6601
10 Be 0.5016 0.0087 0.0087
11 Be 0.6601 0.3688 0.9525
12 Be 0.6601 0.9525 0.3688
13 Be 0.6615 0.1624 0.6615
14 Be 0.6615 0.6615 0.1624
15 Be 0.7652 0.7652 0.7652
16 Be 0.8186 0.3159 0.3159
17 Be 0.9525 0.3688 0.6601
18 Be 0.9525 0.6601 0.3688
19 Ni 0.5651 0.5651 0.5651

---

[3]
The following is a theoretical powder diffraction line list of Be3TlNi. It was derived from a PBE-relaxed structure, using Cu Kα (λ = 1.5418 Å).
Peak positions follow from Bragg's law for the DFT cell and can differ from measured ones.

Largest 6 diffraction maxima, in order of rising 2θ, 5 to 70 degrees two-theta:
- 2θ 21.49, I = 28
- 2θ 30.58, I = 100
- 2θ 43.80, I = 22
- 2θ 49.29, I = 14
- 2θ 54.36, I = 40
- 2θ 63.67, I = 15

Crystal structure
Cell lengths 4.1341, 4.1341, 4.1341 Å; angles 90.00, 90.00, 90.00 degrees
Fractional coordinates of all 5 atoms:
1 Be 0.0000 0.0000 0.5000
2 Be 0.0000 0.5000 0.0000
3 Be 0.5000 0.0000 0.0000
4 Tl 0.5000 0.5000 0.5000
5 Ni 0.0000 0.0000 0.0000

---

[4]
The following is a theoretical powder diffraction line list of Tm3BeNi3. It was derived from a PBE-relaxed structure, using Cu Kα (λ = 1.5418 Å).
Peak positions follow from Bragg's law for the DFT cell and can differ from measured ones.

Largest 6 diffraction maxima, in order of rising 2θ, 5 to 70 degrees two-theta:
- 2θ 28.98, I = 52
- 2θ 32.21, I = 45
- 2θ 32.64, I = 70
- 2θ 36.57, I = 62
- 2θ 37.22, I = 61
- 2θ 41.92, I = 100

Crystal structure
Cell lengths 5.2576, 5.2576, 13.4730 Å; angles 90.00, 90.00, 138.78 degrees
Fractional coordinates of all 14 atoms:
1 Tm 0.0050 0.9950 0.7500
2 Tm 0.2835 0.7165 0.6049
3 Tm 0.2835 0.7165 0.8951
4 Tm 0.7165 0.2835 0.1049
5 Tm 0.7165 0.2835 0.3951
6 Tm 0.9950 0.0050 0.2500
7 Be 0.0000 0.0000 0.0000
8 Be 0.0000 0.0000 0.5000
9 Ni 0.2878 0.7122 0.2500
10 Ni 0.4333 0.5667 0.0811
11 Ni 0.4333 0.5667 0.4189
12 Ni 0.5667 0.4333 0.5811
13 Ni 0.5667 0.4333 0.9189
14 Ni 0.7122 0.2878 0.7500

---

[5]
The following is a theoretical powder diffraction line list of Tm4BeNi3. It was derived from a PBE-relaxed structure, using Cu Kα (λ = 1.5418 Å).
Peak positions follow from Bragg's law for the DFT cell and can differ from measured ones.

Largest 6 diffraction maxima, in order of rising 2θ, 5 to 70 degrees two-theta:
- 2θ 27.84, I = 58
- 2θ 33.87, I = 100
- 2θ 35.14, I = 26
- 2θ 35.97, I = 49
- 2θ 42.34, I = 39
- 2θ 43.99, I = 25

Crystal structure
Cell lengths 3.6727, 4.1164, 10.2141 Å; angles 90.00, 90.00, 90.00 degrees
Fractional coordinates of all 8 atoms:
1 Tm 0.0000 0.0000 0.0000
2 Tm 0.0000 0.5000 0.2765
3 Tm 0.5000 0.0000 0.4946
4 Tm 0.5000 0.5000 0.7789
5 Be 0.0000 0.0000 0.6984
6 Ni 0.0000 0.5000 0.5798
7 Ni 0.5000 0.0000 0.2126
8 Ni 0.5000 0.5000 0.0651

---

[6]
The following is a theoretical powder diffraction line list of BeV2Ni9. It was derived from a PBE-relaxed structure, using Cu Kα (λ = 1.5418 Å).
Peak positions follow from Bragg's law for the DFT cell and can differ from measured ones.

Largest 6 diffraction maxima, in order of rising 2θ, 5 to 70 degrees two-theta:
- 2θ 8.45, I = 3
- 2θ 25.24, I = 4
- 2θ 36.21, I = 3
- 2θ 44.66, I = 100
- 2θ 51.83, I = 32
- 2θ 52.47, I = 15

Crystal structure
Cell lengths 3.5281, 3.5281, 10.4646 Å; angles 90.00, 90.00, 90.00 degrees
Fractional coordinates of all 12 atoms:
1 Be 0.0000 0.0000 0.0000
2 V 0.0000 0.0000 0.3235
3 V 0.0000 0.0000 0.6765
4 Ni 0.0000 0.5000 0.1616
5 Ni 0.0000 0.5000 0.5000
6 Ni 0.0000 0.5000 0.8384
7 Ni 0.5000 0.0000 0.1616
8 Ni 0.5000 0.0000 0.5000
9 Ni 0.5000 0.0000 0.8384
10 Ni 0.5000 0.5000 0.0000
11 Ni 0.5000 0.5000 0.3314
12 Ni 0.5000 0.5000 0.6686

---

[7]
The following is a theoretical powder diffraction line list of Be5VNi4. It was derived from a PBE-relaxed structure, using Cu Kα (λ = 1.5418 Å).
Peak positions follow from Bragg's law for the DFT cell and can differ from measured ones.

Largest 6 diffraction maxima, in order of rising 2θ, 5 to 70 degrees two-theta:
- 2θ 6.46, I = 23
- 2θ 32.73, I = 53
- 2θ 34.43, I = 100
- 2θ 48.24, I = 97
- 2θ 49.49, I = 50
- 2θ 60.60, I = 32

Crystal structure
Cell lengths 2.6046, 2.6046, 13.6818 Å; angles 90.00, 90.00, 90.00 degrees
Fractional coordinates of all 10 atoms:
1 Be 0.0000 0.0000 0.0000
2 Be 0.0000 0.0000 0.1915
3 Be 0.0000 0.0000 0.3786
4 Be 0.0000 0.0000 0.6214
5 Be 0.0000 0.0000 0.8085
6 V 0.5000 0.5000 0.5000
7 Ni 0.5000 0.5000 0.0954
8 Ni 0.5000 0.5000 0.2859
9 Ni 0.5000 0.5000 0.7141
10 Ni 0.5000 0.5000 0.9046

---

[8]
The following is a theoretical powder diffraction line list of BeNiW. It was derived from a PBE-relaxed structure, using Cu Kα (λ = 1.5418 Å).
Peak positions follow from Bragg's law for the DFT cell and can differ from measured ones.

Largest 6 diffraction maxima, in order of rising 2θ, 5 to 70 degrees two-theta:
- 2θ 14.27, I = 100
- 2θ 40.27, I = 33
- 2θ 41.82, I = 24
- 2θ 42.46, I = 32
- 2θ 43.54, I = 55
- 2θ 49.33, I = 35

Crystal structure
Cell lengths 4.4929, 2.5797, 6.2257 Å; angles 90.00, 94.34, 90.00 degrees
Fractional coordinates of all 6 atoms:
1 Be 0.0000 0.0000 0.0000
2 Be 0.5000 0.5000 0.0000
3 Ni 0.2072 0.5000 0.2722
4 Ni 0.7928 0.5000 0.7278
5 W 0.2832 0.0000 0.6455
6 W 0.7168 0.0000 0.3545

---

[9]
The following is a theoretical powder diffraction line list of Y2Be12Ni5. It was derived from a PBE-relaxed structure, using Cu Kα (λ = 1.5418 Å).
Peak positions follow from Bragg's law for the DFT cell and can differ from measured ones.

Largest 6 diffraction maxima, in order of rising 2θ, 5 to 70 degrees two-theta:
- 2θ 22.31, I = 100
- 2θ 32.49, I = 64
- 2θ 33.90, I = 58
- 2θ 45.53, I = 87
- 2θ 47.14, I = 48
- 2θ 47.66, I = 47

Crystal structure
Cell lengths 5.9777, 5.9777, 5.9777 Å; angles 83.60, 83.60, 83.60 degrees
Fractional coordinates of all 19 atoms:
1 Y 0.1578 0.1578 0.1578
2 Y 0.8422 0.8422 0.8422
3 Be 0.1663 0.1663 0.6482
4 Be 0.1663 0.6482 0.1663
5 Be 0.2257 0.5000 0.7743
6 Be 0.2257 0.7743 0.5000
7 Be 0.3518 0.8337 0.8337
8 Be 0.5000 0.2257 0.7743
9 Be 0.5000 0.7743 0.2257
10 Be 0.6482 0.1663 0.1663
11 Be 0.7743 0.2257 0.5000
12 Be 0.7743 0.5000 0.2257
13 Be 0.8337 0.3518 0.8337
14 Be 0.8337 0.8337 0.3518
15 Ni 0.0000 0.5000 0.5000
16 Ni 0.3988 0.3988 0.3988
17 Ni 0.5000 0.0000 0.5000
18 Ni 0.5000 0.5000 0.0000
19 Ni 0.6012 0.6012 0.6012

---

[10]
The following is a theoretical powder diffraction line list of Be6ZnNi5. It was derived from a PBE-relaxed structure, using Cu Kα (λ = 1.5418 Å).
Peak positions follow from Bragg's law for the DFT cell and can differ from measured ones.

Largest 6 diffraction maxima, in order of rising 2θ, 5 to 70 degrees two-theta:
- 2θ 33.65, I = 100
- 2θ 34.35, I = 48
- 2θ 43.64, I = 1
- 2θ 48.33, I = 49
- 2θ 48.85, I = 96
- 2θ 60.63, I = 33

Crystal structure
Cell lengths 6.5030, 6.5030, 6.5030 Å; angles 146.34, 132.66, 59.34 degrees
Fractional coordinates of all 12 atoms:
1 Be 0.0641 0.3255 0.7387
2 Be 0.2276 0.0000 0.2276
3 Be 0.4132 0.6745 0.7387
4 Be 0.5868 0.3255 0.2613
5 Be 0.7724 0.0000 0.7724
6 Be 0.9359 0.6745 0.2613
7 Zn 0.5000 0.5000 0.0000
8 Ni 0.0000 0.5000 0.5000
9 Ni 0.1663 0.1663 0.0000
10 Ni 0.3392 0.8392 0.5000
11 Ni 0.6608 0.1608 0.5000
12 Ni 0.8337 0.8337 0.0000

---

[11]
The following is a theoretical powder diffraction line list of BeZn2Ni. It was derived from a PBE-relaxed structure, using Cu Kα (λ = 1.5418 Å).
Peak positions follow from Bragg's law for the DFT cell and can differ from measured ones.

Largest 6 diffraction maxima, in order of rising 2θ, 5 to 70 degrees two-theta:
- 2θ 35.35, I = 47
- 2θ 44.22, I = 100
- 2θ 45.33, I = 14
- 2θ 45.80, I = 53
- 2θ 66.41, I = 17
- 2θ 66.77, I = 16

Crystal structure
Cell lengths 2.8018, 2.8018, 6.0022 Å; angles 90.00, 90.00, 90.00 degrees
Fractional coordinates of all 4 atoms:
1 Be 0.0000 0.0000 0.0000
2 Zn 0.0000 0.0000 0.4353
3 Zn 0.5000 0.5000 0.7428
4 Ni 0.5000 0.5000 0.1696

---

[12]
The following is a theoretical powder diffraction line list of Zr2Be5Ni5. It was derived from a PBE-relaxed structure, using Cu Kα (λ = 1.5418 Å).
Peak positions follow from Bragg's law for the DFT cell and can differ from measured ones.

Largest 6 diffraction maxima, in order of rising 2θ, 5 to 70 degrees two-theta:
- 2θ 23.79, I = 69
- 2θ 38.63, I = 44
- 2θ 39.19, I = 37
- 2θ 45.87, I = 100
- 2θ 46.36, I = 29
- 2θ 48.68, I = 23

Crystal structure
Cell lengths 3.7408, 4.5975, 8.1133 Å; angles 90.00, 90.00, 90.00 degrees
Fractional coordinates of all 12 atoms:
1 Zr 0.0000 0.0000 0.0000
2 Zr 0.0000 0.5000 0.5000
3 Be 0.5000 0.0000 0.5000
4 Be 0.5000 0.2508 0.2514
5 Be 0.5000 0.2508 0.7486
6 Be 0.5000 0.7492 0.2514
7 Be 0.5000 0.7492 0.7486
8 Ni 0.0000 0.0000 0.3335
9 Ni 0.0000 0.0000 0.6665
10 Ni 0.0000 0.5000 0.1793
11 Ni 0.0000 0.5000 0.8207
12 Ni 0.5000 0.5000 0.0000